# 1
Simulated X-ray powder pattern of Bi14WO24 for Cu Kα (weighted mean of Kα1 and Kα2), from a cell relaxed with PBE+U.

The 10 most intense peaks (10 to 90 degrees two-theta), in order of falling intensity:
(hkl)  two_theta  I (rel.)
2 1 3  27.6  1000
1 3 6  45.6  288
5 0 3  54.8  267
1 3 0  32.3  257
2 1 9  53.5  165
0 0 6  31.3  164
4 2 0  46.3  130
5 0 9  73.4  116
4 2 6  57.0  109
7 1 6  85.4  68

Cell and atoms:
Cell lengths 8.761, 8.761, 17.153 Å; angles 90.00, 90.00, 90.00 degrees
Space group I4/m (No. 87)
Asymmetric unit:
Bi1 0.000 0.000 0.160
Bi2 0.064 0.297 0.000
Bi3 0.114 0.296 0.333
W1 0.000 0.000 0.500
O1 0.000 0.500 0.115
O2 0.026 0.784 0.500
O3 0.079 0.751 0.247
O4 0.130 0.818 0.082

---

# 2
Simulated X-ray powder pattern of Mo3C7Br3NCl3O7 for Cu Kα (weighted mean of Kα1 and Kα2), from a cell relaxed with PBE+U.

The 10 most intense peaks (10 to 90 degrees two-theta), in order of falling intensity:
(hkl)  two_theta  I (rel.)
0 1 1  10.2  1000
1 0 0  12.7  948
1 0 -1  13.7  807
1 1 0  16.3  512
1 -1 1  14.2  380
0 4 -3  31.9  347
-2 2 3  32.0  315
2 0 2  29.6  290
2 1 3  36.3  249
1 0 4  29.2  220

Cell and atoms:
Cell lengths 7.248, 12.982, 14.471 Å; angles 98.47, 92.64, 105.74 degrees
Space group P-1 (No. 2)
Asymmetric unit:
Mo1 0.103 0.281 0.071
Mo2 0.152 0.442 0.294
Mo3 0.252 0.190 0.271
C1 0.255 0.071 0.632
C2 0.257 0.170 0.590
C3 0.321 0.528 0.096
C4 0.413 0.122 0.707
C5 0.436 0.167 0.057
C6 0.445 0.604 0.621
C7 0.456 0.194 0.636
Br1 0.017 0.905 0.868
Br2 0.071 0.276 0.396
Br3 0.132 0.613 0.860
N1 0.264 0.190 0.699
Cl1 0.062 0.764 0.084
Cl2 0.070 0.588 0.391
Cl3 0.292 0.035 0.327
O1 0.268 0.326 0.202
O2 0.283 0.453 0.034
O3 0.361 0.601 0.158
O4 0.366 0.213 0.006
O5 0.440 0.512 0.603
O6 0.455 0.697 0.641
O7 0.499 0.879 0.892